This entry pairs a crystal structure of Y3AlNi8 with its calculated powder X-ray diffraction pattern. Radiation: λ = 1.5418 Å (Cu Kα). Structure: the PBE geometry in the Materials Project.
Peak positions follow from Bragg's law for the DFT cell and can differ from measured ones.

The 6 most intense peaks (2θ from 10° to 90°), by intensity:
2θ = 41.78°, I 100; 2θ = 44.45°, I 82; 2θ = 35.48°, I 37; 2θ = 43.30°, I 36; 2θ = 75.09°, I 27; 2θ = 41.57°, I 26

Crystal structure
```
data_Y3AlNi8
_chemical_formula_sum 'Y6 Al2 Ni16'
_symmetry_space_group_name_H-M 'P 63/m m c'
_symmetry_Int_Tables_number 194
_symmetry_space_group_name_Hall '-P 6c 2c'
_cell_length_a 5.0605
_cell_length_b 5.0605
_cell_length_c 16.6403
_cell_angle_alpha 90.00
_cell_angle_beta 90.00
_cell_angle_gamma 120.00
loop_
_atom_site_label
_atom_site_fract_x
_atom_site_fract_y
_atom_site_fract_z
_atom_site_occupancy
Y1 0.3333 0.6667 0.0477 1
Y2 0.3333 0.6667 0.7500 1
Al1 0.3333 0.6667 0.2500 1
Ni1 0.0000 0.0000 0.0000 1
Ni2 0.0000 0.0000 0.2500 1
Ni3 0.1618 0.3236 0.6198 1
```